Starting from a structure optimized by DFT (GGA-PBE), the powder X-ray diffraction pattern of InHgSe2 was simulated for copper Kα.
Neutral-atom scattering factors, no anomalous dispersion.

Structural model:
Lattice parameters (Å, degrees): 6.423 6.423 12.718 90.00 90.00 90.00
Space group I-42d (No. 122)
Inequivalent atoms, fractional coordinates:
In 0.000 0.000 0.000 (multiplicity 4)
Hg 0.000 0.000 0.500 (multiplicity 4)
Se 0.238 0.250 0.125 (multiplicity 8)

Most intense lines, 10 to 90 degrees two-theta, sorted by position:
h k l	2θ (°)	I/Imax
1 1 2	24.1	100
2 0 0	27.8	7
2 2 0	39.7	24
2 0 4	39.9	48
3 1 2	47.0	33
1 1 6	47.3	16
4 0 0	57.4	8
3 3 2	63.1	7
3 1 6	63.4	14
4 2 4	72.2	16
2 2 8	72.6	8
5 1 2	77.2	8


Starting from a structure optimized by DFT (GGA-PBE), the powder X-ray diffraction pattern of InHg3Se4 was simulated for copper Kα.
Neutral-atom scattering factors, no anomalous dispersion.

Structural model:
Lattice parameters (Å, degrees): 6.325 6.325 6.325 90.00 90.00 90.00
Space group P-43m (No. 215)
Inequivalent atoms, fractional coordinates:
In 0.000 0.000 0.000 (multiplicity 1)
Hg 0.000 0.500 0.500 (multiplicity 3)
Se 0.247 0.247 0.247 (multiplicity 4)

Most intense lines, 10 to 90 degrees two-theta, sorted by position:
h k l	2θ (°)	I/Imax
1 1 0	19.9	3
1 1 1	24.4	100
2 0 0	28.2	13
2 2 0	40.3	70
3 1 1	47.7	50
2 2 2	50.0	4
4 0 0	58.4	12
3 3 1	64.2	21
4 2 0	66.1	5
4 2 2	73.3	24
5 1 1	78.6	16
4 4 0	87.2	8


Starting from a structure optimized by DFT (GGA-PBE), the powder X-ray diffraction pattern of In4HgSe7 was simulated for copper Kα.
Neutral-atom scattering factors, no anomalous dispersion.

Structural model:
Lattice parameters (Å, degrees): 16.740 7.227 6.911 90.00 90.00 90.00
Space group Pmn2_1 (No. 31)
Inequivalent atoms, fractional coordinates:
In 0.126 0.174 0.000 (multiplicity 4)
In 0.243 0.327 0.473 (multiplicity 4)
Hg 0.000 0.662 0.877 (multiplicity 2)
Se 0.000 0.305 0.807 (multiplicity 2)
Se 0.111 0.178 0.367 (multiplicity 4)
Se 0.133 0.846 0.819 (multiplicity 4)
Se 0.240 0.680 0.358 (multiplicity 4)

Most intense lines, 10 to 90 degrees two-theta, sorted by position:
h k l	2θ (°)	I/Imax
1 0 1	13.9	83
0 1 1	17.8	24
3 1 1	23.9	23
0 2 0	24.6	100
0 0 2	25.8	53
4 1 1	27.8	51
0 2 2	35.9	32
7 0 1	39.9	21
3 3 1	42.9	21
4 3 0	43.3	81
4 1 3	46.7	45
4 3 2	51.1	42


Starting from a structure optimized by DFT (GGA-PBE), the powder X-ray diffraction pattern of In3HgSe was simulated for copper Kα.
Neutral-atom scattering factors, no anomalous dispersion.

Structural model:
Lattice parameters (Å, degrees): 6.108 4.013 23.175 90.00 90.00 90.00
Space group Pnma (No. 62)
Inequivalent atoms, fractional coordinates:
In 0.061 0.250 0.155 (multiplicity 4)
In 0.184 0.250 0.474 (multiplicity 4)
In 0.206 0.250 0.754 (multiplicity 4)
Hg 0.050 0.250 0.345 (multiplicity 4)
Se 0.008 0.750 0.067 (multiplicity 4)

Most intense lines, 10 to 90 degrees two-theta, sorted by position:
h k l	2θ (°)	I/Imax
0 1 3	25.0	23
1 1 1	26.9	19
1 1 2	27.7	29
0 1 5	29.4	100
2 0 4	33.2	49
0 1 7	35.2	57
2 1 0	37.0	34
2 1 1	37.2	38
0 0 10	38.9	40
2 1 5	42.0	30
0 2 0	45.2	33
2 2 4	57.2	20


Starting from a structure optimized by DFT (GGA-PBE), the powder X-ray diffraction pattern of In4SnHgSe8 was simulated for copper Kα.
Neutral-atom scattering factors, no anomalous dispersion.

Structural model:
Lattice parameters (Å, degrees): 8.3288 8.3288 20.0900 90.00 90.00 120.00
Space group R3m (No. 160, hexagonal axes)
Inequivalent atoms, fractional coordinates:
In 0.0000 0.0000 0.0000 (multiplicity 3)
In 0.1691 0.3383 0.2129 (multiplicity 9)
Sn 0.0000 0.0000 0.3822 (multiplicity 3)
Hg 0.0000 0.0000 0.7580 (multiplicity 3)
Se 0.0000 0.0000 0.1382 (multiplicity 3)
Se 0.0000 0.0000 0.6210 (multiplicity 3)
Se 0.0202 0.5101 0.1370 (multiplicity 9)
Se 0.1756 0.3513 0.9568 (multiplicity 9)

Most intense lines, 10 to 90 degrees two-theta, sorted by position:
h k l	2θ (°)	I/Imax
1 1 0	21.3	27
1 0 4	21.6	25
1 1 3	25.2	100
0 1 5	25.4	36
0 2 4	30.5	64
0 3 3	39.8	22
1 2 5	40.0	33
0 2 7	40.2	19
2 2 0	43.5	79
2 0 8	43.9	72
0 4 8	63.5	23
4 2 8	80.1	24


Starting from a structure optimized by DFT (GGA-PBE), the powder X-ray diffraction pattern of InSnHgSe4 was simulated for copper Kα.
Neutral-atom scattering factors, no anomalous dispersion.

Structural model:
Lattice parameters (Å, degrees): 8.126 8.326 11.866 90.00 90.00 90.00
Space group Imma (No. 74)
Inequivalent atoms, fractional coordinates:
In 0.000 0.000 0.000 (multiplicity 4)
Sn 0.250 0.250 0.250 (multiplicity 4)
Hg 0.000 0.250 0.627 (multiplicity 4)
Se 0.000 0.011 0.236 (multiplicity 8)
Se 0.231 0.250 0.009 (multiplicity 8)

Most intense lines, 10 to 90 degrees two-theta, sorted by position:
h k l	2θ (°)	I/Imax
0 2 0	21.4	60
0 1 3	24.9	23
1 0 3	25.0	24
1 2 1	25.2	50
2 1 1	25.5	53
2 2 0	30.7	30
1 0 5	39.5	27
2 3 1	40.1	22
3 2 1	40.4	28
0 4 0	43.5	26
2 2 4	43.6	100
4 0 0	44.6	23


Starting from a structure optimized by DFT (GGA-PBE), the powder X-ray diffraction pattern of Tl2InHgSe4 was simulated for copper Kα.
Neutral-atom scattering factors, no anomalous dispersion.

Structural model:
Lattice parameters (Å, degrees): 9.080 9.281 7.201 90.00 128.14 90.00
Space group C2 (No. 5)
Inequivalent atoms, fractional coordinates:
Tl 0.000 0.000 0.000 (multiplicity 2)
Tl 0.000 0.237 0.500 (multiplicity 2)
In 0.000 0.551 0.000 (multiplicity 2)
Hg 0.000 0.780 0.500 (multiplicity 2)
Se 0.215 0.720 0.962 (multiplicity 4)
Se 0.223 0.455 0.440 (multiplicity 4)

Most intense lines, 10 to 90 degrees two-theta, sorted by position:
h k l	2θ (°)	I/Imax
0 2 1	24.8	29
2 0 0	24.9	11
2 0 -2	25.3	10
2 2 -1	27.5	100
0 0 2	31.6	40
0 4 0	38.8	18
4 0 -2	39.7	21
2 2 1	42.1	27
2 2 -3	42.6	27
0 4 2	50.9	14
4 0 0	51.2	9
6 2 -1	73.3	11


Starting from a structure optimized by DFT (GGA-PBE), the powder X-ray diffraction pattern of InSiHg2 was simulated for copper Kα.
Neutral-atom scattering factors, no anomalous dispersion.

Structural model:
Lattice parameters (Å, degrees): 5.876 6.123 10.574 90.00 90.00 90.00
Space group Fmmm (No. 69)
Inequivalent atoms, fractional coordinates:
In 0.000 0.000 0.000 (multiplicity 4)
Si 0.000 0.000 0.500 (multiplicity 4)
Hg 0.000 0.250 0.250 (multiplicity 8)

Most intense lines, 10 to 90 degrees two-theta, sorted by position:
h k l	2θ (°)	I/Imax
0 0 2	16.8	37
1 1 1	22.6	9
0 2 0	29.2	10
2 0 0	30.4	44
0 2 2	33.9	100
2 0 2	34.9	13
2 2 2	46.2	85
0 2 6	60.6	13
2 2 6	69.3	17
0 4 4	71.2	10
4 2 2	73.8	21
2 4 4	79.3	12


Starting from a structure optimized by DFT (GGA-PBE), the powder X-ray diffraction pattern of InSiHg2 was simulated for copper Kα.
Neutral-atom scattering factors, no anomalous dispersion.

Structural model:
Lattice parameters (Å, degrees): 3.6393 3.6393 24.6393 90.00 90.00 120.00
Space group R3m (No. 160, hexagonal axes)
Inequivalent atoms, fractional coordinates:
In 0.0000 0.0000 0.0000 (multiplicity 3)
Si 0.0000 0.0000 0.7446 (multiplicity 3)
Hg 0.0000 0.0000 0.2419 (multiplicity 3)
Hg 0.0000 0.0000 0.4845 (multiplicity 3)

Most intense lines, 10 to 90 degrees two-theta, sorted by position:
h k l	2θ (°)	I/Imax
0 0 3	10.8	28
1 0 1	28.6	19
1 0 4	31.9	100
0 1 5	33.8	20
0 1 8	41.0	48
0 0 12	44.1	12
1 1 0	50.1	29
0 2 4	60.7	16
2 0 8	66.7	11
1 1 12	69.0	19
2 1 4	82.5	14
1 2 8	87.9	11


Starting from a structure optimized by DFT (GGA-PBE), the powder X-ray diffraction pattern of Sm12In2Hg5 was simulated for copper Kα.
Neutral-atom scattering factors, no anomalous dispersion.

Structural model:
Lattice parameters (Å, degrees): 12.994 10.554 8.463 90.00 102.43 90.00
Space group C2/m (No. 12)
Inequivalent atoms, fractional coordinates:
Sm 0.100 0.000 0.153 (multiplicity 4)
Sm 0.104 0.280 0.395 (multiplicity 8)
Sm 0.111 0.500 0.748 (multiplicity 4)
Sm 0.168 0.170 0.807 (multiplicity 8)
In 0.000 0.276 0.000 (multiplicity 4)
Hg 0.000 0.000 0.500 (multiplicity 2)
Hg 0.130 0.500 0.131 (multiplicity 4)
Hg 0.232 0.000 0.501 (multiplicity 4)

Most intense lines, 10 to 90 degrees two-theta, sorted by position:
h k l	2θ (°)	I/Imax
1 1 -1	14.2	22
1 3 1	29.0	50
4 0 -2	31.6	28
2 0 -3	32.5	74
4 2 -1	32.7	94
2 2 2	33.0	100
3 3 0	33.2	41
3 3 -1	33.4	23
0 4 0	34.0	44
4 2 1	36.7	21
0 2 3	36.8	37
2 4 -1	37.6	19


Starting from a structure optimized by DFT (GGA-PBE), the powder X-ray diffraction pattern of SmIn5Hg8 was simulated for copper Kα.
Neutral-atom scattering factors, no anomalous dispersion.

Structural model:
Lattice parameters (Å, degrees): 14.438 7.704 8.528 90.00 126.09 90.00
Space group C2 (No. 5)
Inequivalent atoms, fractional coordinates:
Sm 0.000 0.000 0.000 (multiplicity 2)
In 0.000 0.639 0.500 (multiplicity 2)
In 0.065 0.307 0.789 (multiplicity 4)
In 0.129 0.037 0.490 (multiplicity 4)
Hg 0.076 0.636 0.225 (multiplicity 4)
Hg 0.152 0.891 0.863 (multiplicity 4)
Hg 0.185 0.289 0.237 (multiplicity 4)
Hg 0.227 0.401 0.684 (multiplicity 4)

Most intense lines, 10 to 90 degrees two-theta, sorted by position:
h k l	2θ (°)	I/Imax
2 2 -1	26.5	29
2 2 0	27.8	48
4 0 -3	32.4	51
1 1 2	33.3	100
3 1 -3	33.6	48
4 2 -1	34.4	77
5 1 -1	34.5	87
0 2 2	34.9	37
1 3 0	35.8	35
3 3 -1	39.8	30
4 2 -3	40.2	40
4 4 1	63.6	28


Starting from a structure optimized by DFT (GGA-PBE), the powder X-ray diffraction pattern of Sm2In3Hg2 was simulated for copper Kα.
Neutral-atom scattering factors, no anomalous dispersion.

Structural model:
Lattice parameters (Å, degrees): 11.368 4.670 7.026 90.00 98.43 90.00
Space group C2/m (No. 12)
Inequivalent atoms, fractional coordinates:
Sm 0.108 0.000 0.314 (multiplicity 4)
In 0.000 0.500 0.000 (multiplicity 2)
In 0.204 0.000 0.858 (multiplicity 4)
Hg 0.113 0.500 0.626 (multiplicity 4)

Most intense lines, 10 to 90 degrees two-theta, sorted by position:
h k l	2θ (°)	I/Imax
1 1 -1	23.7	14
4 0 0	31.8	22
1 1 -2	32.2	100
4 0 -1	32.6	33
3 1 1	34.6	87
0 2 0	38.6	41
2 0 3	44.4	17
4 2 -1	51.3	18
2 2 3	60.3	14
7 1 -1	60.6	13
1 3 -2	65.8	13
3 3 1	67.2	16